Na: calculated powder diffractogram (Cu Ka), based on a DFT-relaxed cell (PBE, the Materials Project).

Structural model:
Cell: 8.4306 8.4306 8.4306 Å, 60.00 60.00 60.00°
Fractional coordinates of all 6 atoms:
Na1 0.0000 0.0000 0.0000
Na2 0.3518 0.3518 0.3518
Na3 0.3518 0.3518 0.9446
Na4 0.3518 0.9446 0.3518
Na5 0.5000 0.5000 0.5000
Na6 0.9446 0.3518 0.3518

Principal peaks in the range 5° ≤ 2θ ≤ 70°, in order of rising 2θ:
2θ = 12.86°, I 100
2θ = 21.08°, I 51
2θ = 24.77°, I 32
2θ = 25.89°, I 60
2θ = 32.74°, I 28
2θ = 33.62°, I 49
2θ = 36.94°, I 30
2θ = 39.26°, I 37
2θ = 42.91°, I 32
2θ = 45.66°, I 21